[1]
Theoretical powder diffraction line list
Compound: Li3In2Sn6
Radiation: Cu Kα (weighted mean of Kα1 and Kα2)
Structure: the PBE geometry in Alexandria
Intensities are scaled so that the largest is 1000.

Structure:
```
data_Li3In2Sn6
_chemical_formula_sum 'Li3 In2 Sn6'
_space_group_name_H-M_alt 'P -1'
_space_group_IT_number 2
_cell_length_a 4.457
_cell_length_b 5.481
_cell_length_c 12.735
_cell_angle_alpha 98.31
_cell_angle_beta 90.30
_cell_angle_gamma 113.86
loop_
_space_group_symop_operation_xyz
'x,y,z'
'-x,-y,-z'
loop_
_atom_site_label
_atom_site_fract_x
_atom_site_fract_y
_atom_site_fract_z
Li1 0.000 0.000 0.000
Li2 0.269 0.537 0.317
In1 0.029 0.066 0.721
Sn1 0.158 0.314 0.515
Sn2 0.316 0.633 0.084
Sn3 0.370 0.745 0.826
```

Top 10 peaks for 2θ from 10° to 90°, by angle:
two_theta  I (rel.)  index
21.2  306  0 0 3
22.5  875  1 -1 1
24.6  431  0 1 2
34.9  750  1 0 -4
35.0  720  1 -1 4
35.5  1000  -1 2 1
36.3  247  0 1 4
39.2  498  0 2 -3
40.5  498  2 -1 0
57.5  260  2 1 -3


[2]
Theoretical powder diffraction line list
Compound: HfSc2Pd3
Radiation: Cu Kα (weighted mean of Kα1 and Kα2)
Structure: the PBE geometry in Alexandria
Intensities are scaled so that the largest is 1000.

Structure:
```
data_HfSc2Pd3
_chemical_formula_sum 'Hf2 Sc4 Pd6'
_space_group_name_H-M_alt 'P m m n'
_space_group_IT_number 59
_cell_length_a 4.756
_cell_length_b 14.400
_cell_length_c 3.207
_cell_angle_alpha 90.00
_cell_angle_beta 90.00
_cell_angle_gamma 90.00
loop_
_space_group_symop_operation_xyz
'x,y,z'
'-x,-y,-z'
'-x+1/2,-y+1/2,z'
'x+1/2,y+1/2,-z'
'x+1/2,-y,-z'
'-x+1/2,y,z'
'-x,y+1/2,-z'
'x,-y+1/2,z'
loop_
_atom_site_label
_atom_site_fract_x
_atom_site_fract_y
_atom_site_fract_z
Hf1 0.250 0.250 0.001
Sc1 0.250 0.581 0.999
Pd1 0.250 0.091 0.501
Pd2 0.250 0.750 0.499
```

Top 10 peaks for 2θ from 10° to 90°, by angle:
two_theta  I (rel.)  index
12.3  231  0 2 0
19.7  154  1 1 0
37.5  313  0 6 0
37.8  269  2 0 0
38.7  1000  1 3 1
54.3  212  2 6 0
68.4  170  1 9 1
68.9  176  3 3 1
70.9  81  2 0 2
83.0  103  2 6 2